The following is a calculated powder diffraction line list of NbFeB. It was derived from a DFT-relaxed cell (GGA-PBE, Alexandria), using Cu Kα (weighted mean of Kα1 and Kα2).

Crystal structure
Lattice parameters (Å, degrees): 5.9983 5.9983 3.2027 90.00 90.00 120.00
Element x y z (fractional)
Nb: 0.0000 0.5884 0.0000
Nb: 0.4116 0.4116 0.0000
Nb: 0.5884 0.0000 0.0000
Fe: 0.0000 0.2382 0.5000
Fe: 0.2382 0.0000 0.5000
Fe: 0.7618 0.7618 0.5000
B: 0.0000 0.0000 0.0000
B: 0.3333 0.6667 0.5000
B: 0.6667 0.3333 0.5000

Largest 10 diffraction maxima, by intensity, 2θ from 10° to 80°:
41.24°, I 100.0; 46.24°, I 56.5; 44.93°, I 53.0; 29.79°, I 35.4; 71.85°, I 33.0; 32.85°, I 28.5; 76.81°, I 22.9; 57.56°, I 15.0; 34.53°, I 13.3; 64.70°, I 13.3

The following is a calculated powder diffraction line list of NbFe2B4. It was derived from a DFT-relaxed cell (GGA-PBE, Alexandria), using Cu Kα (weighted mean of Kα1 and Kα2).

Crystal structure
Lattice parameters (Å, degrees): 6.6840 6.6840 6.6840 153.99 152.51 38.21
Element x y z (fractional)
Nb: 0.0000 0.0000 0.0000
Fe: 0.1861 0.6861 0.5000
Fe: 0.8139 0.3139 0.5000
B: 0.3484 0.8484 0.5000
B: 0.4245 0.4245 0.0000
B: 0.5755 0.5755 0.0000
B: 0.6516 0.1516 0.5000

Largest 10 diffraction maxima, by intensity, 2θ from 10° to 80°:
43.86°, I 100.0; 36.72°, I 81.9; 28.99°, I 59.5; 45.90°, I 53.7; 42.96°, I 24.1; 70.71°, I 22.0; 74.09°, I 20.8; 50.83°, I 20.0; 58.08°, I 16.4; 61.66°, I 13.5